[1]
Structure and simulated XRD peak list of Li5Se2Br (a cell relaxed with GGA-PBE; Cu Kα X-rays).
Neutral-atom scattering factors, no anomalous dispersion.

Most intense lines, 2θ from 5° to 70°, by angle:
2theta  I (rel.)
24.1  43
26.2  78
26.6  100
27.2  46
28.1  49
28.3  83
42.6  52
50.1  50

```
data_Li5Se2Br
_cell_length_a 10.4521
_cell_length_b 8.6121
_cell_length_c 7.3268
_cell_angle_alpha 90.00
_cell_angle_beta 102.18
_cell_angle_gamma 90.00
_space_group_name_H-M_alt 'P 1 21/c 1'
_space_group_IT_number 14
_space_group_name_Hall '-P 2ybc'
loop_
_atom_site_label
_atom_site_fract_x
_atom_site_fract_y
_atom_site_fract_z
_atom_site_occupancy
Li1 0.0587 0.1300 0.2814 1
Li2 0.1203 0.6295 0.6003 1
Li3 0.2424 0.1344 0.6810 1
Li4 0.4059 0.1136 0.0624 1
Li5 0.4279 0.6318 0.0568 1
Se1 0.1416 0.1343 0.9717 1
Se2 0.4888 0.1260 0.7486 1
Br1 0.1680 0.6135 0.9650 1
```

[2]
Structure and simulated XRD peak list of Li2SmBr4 (a cell relaxed with GGA-PBE; Cu Kα X-rays).
Neutral-atom scattering factors, no anomalous dispersion.

Most intense lines, 2θ from 5° to 70°, by angle:
2theta  I (rel.)
16.7  83
25.6  47
27.3  100
34.2  41
41.4  22
43.3  47
46.2  23
47.1  24

```
data_Li2SmBr4
_cell_length_a 8.2797
_cell_length_b 8.2797
_cell_length_c 6.9496
_cell_angle_alpha 90.00
_cell_angle_beta 90.00
_cell_angle_gamma 90.00
_space_group_name_H-M_alt 'I 4/m'
_space_group_IT_number 87
_space_group_name_Hall '-I 4'
loop_
_atom_site_label
_atom_site_fract_x
_atom_site_fract_y
_atom_site_fract_z
_atom_site_occupancy
Li1 0.0000 0.5000 0.2500 1
Sm1 0.0000 0.0000 0.0000 1
Br1 0.1409 0.3178 0.0000 1
```

[3]
Structure and simulated XRD peak list of SrLiSmBr6 (a cell relaxed with GGA-PBE; Cu Kα X-rays).
Neutral-atom scattering factors, no anomalous dispersion.

Most intense lines, 2θ from 5° to 70°, by angle:
2theta  I (rel.)
15.6  29
19.4  39
28.1  100
36.5  66
43.5  42
47.7  23
52.5  15
58.0  16

```
data_SrLiSmBr6
_cell_length_a 7.2140
_cell_length_b 7.2140
_cell_length_c 13.4614
_cell_angle_alpha 90.00
_cell_angle_beta 90.00
_cell_angle_gamma 120.00
_space_group_name_H-M_alt 'P -3 1 c'
_space_group_IT_number 163
_space_group_name_Hall '-P 3 2c'
loop_
_atom_site_label
_atom_site_fract_x
_atom_site_fract_y
_atom_site_fract_z
_atom_site_occupancy
Sr1 0.0000 0.0000 0.0000 1
Li1 0.3333 0.6667 0.2500 1
Sm1 0.3333 0.6667 0.7500 1
Br1 0.0088 0.3578 0.1310 1
```

[4]
Structure and simulated XRD peak list of Li2Sn5Br12 (a cell relaxed with GGA-PBE; Cu Kα X-rays).
Neutral-atom scattering factors, no anomalous dispersion.

Most intense lines, 2θ from 5° to 70°, by angle:
2theta  I (rel.)
19.8  97
21.9  70
29.9  100
31.5  54
33.1  74
33.7  58
33.9  62
38.2  42

```
data_Li2Sn5Br12
_cell_length_a 16.9403
_cell_length_b 7.9640
_cell_length_c 9.4131
_cell_angle_alpha 90.00
_cell_angle_beta 106.70
_cell_angle_gamma 90.00
_space_group_name_H-M_alt 'C 1 2/m 1'
_space_group_IT_number 12
_space_group_name_Hall '-C 2y'
loop_
_atom_site_label
_atom_site_fract_x
_atom_site_fract_y
_atom_site_fract_z
_atom_site_occupancy
Li1 0.0000 0.2307 0.0000 1
Sn1 0.0000 0.0000 0.5000 1
Sn2 0.1722 0.5000 0.8194 1
Sn3 0.1835 0.5000 0.3221 1
Br1 0.0023 0.5000 0.2086 1
Br2 0.0055 0.0000 0.8081 1
Br3 0.1447 0.2513 0.5736 1
Br4 0.1670 0.2606 0.0906 1
```

[5]
Structure and simulated XRD peak list of LiSn2Br5 (a cell relaxed with GGA-PBE; Cu Kα X-rays).
Neutral-atom scattering factors, no anomalous dispersion.

Most intense lines, 2θ from 5° to 70°, by angle:
2theta  I (rel.)
15.7  29
16.6  19
16.9  52
21.2  23
22.1  18
28.7  100
30.1  62
36.4  26

```
data_LiSn2Br5
_cell_length_a 21.6809
_cell_length_b 9.0209
_cell_length_c 13.8270
_cell_angle_alpha 90.00
_cell_angle_beta 124.07
_cell_angle_gamma 90.00
_space_group_name_H-M_alt 'C 1 2/c 1'
_space_group_IT_number 15
_space_group_name_Hall '-C 2yc'
loop_
_atom_site_label
_atom_site_fract_x
_atom_site_fract_y
_atom_site_fract_z
_atom_site_occupancy
Li1 0.1985 0.1217 0.3252 1
Sn1 0.0278 0.2364 0.4661 1
Sn2 0.1458 0.3654 0.8359 1
Br1 0.0264 0.3634 0.9171 1
Br2 0.0886 0.0032 0.1363 1
Br3 0.1105 0.3292 0.3040 1
Br4 0.1821 0.3675 0.6681 1
Br5 0.2109 0.0491 0.9822 1
```

[6]
Structure and simulated XRD peak list of Li2SnBr4 (a cell relaxed with GGA-PBE; Cu Kα X-rays).
Neutral-atom scattering factors, no anomalous dispersion.

Most intense lines, 2θ from 5° to 70°, by angle:
2theta  I (rel.)
15.8  22
25.5  48
28.9  100
31.5  37
40.9  21
43.0  36
43.5  33
52.5  20

```
data_Li2SnBr4
_cell_length_a 14.1055
_cell_length_b 4.4136
_cell_length_c 7.1888
_cell_angle_alpha 90.00
_cell_angle_beta 103.96
_cell_angle_gamma 90.00
_space_group_name_H-M_alt 'C 1 2/m 1'
_space_group_IT_number 12
_space_group_name_Hall '-C 2y'
loop_
_atom_site_label
_atom_site_fract_x
_atom_site_fract_y
_atom_site_fract_z
_atom_site_occupancy
Li1 0.1776 0.0000 0.0875 1
Sn1 0.0000 0.5000 0.5000 1
Br1 0.1218 0.0000 0.3954 1
Br2 0.1361 0.5000 0.9006 1
```

[7]
Structure and simulated XRD peak list of LiSnBr5 (a cell relaxed with GGA-PBE; Cu Kα X-rays).
Neutral-atom scattering factors, no anomalous dispersion.

Most intense lines, 2θ from 5° to 70°, by angle:
2theta  I (rel.)
12.6  60
16.9  100
18.6  68
21.5  52
25.5  98
34.0  42
41.7  55
44.9  52

```
data_LiSnBr5
_cell_length_a 8.6586
_cell_length_b 8.6732
_cell_length_c 8.9499
_cell_angle_alpha 105.30
_cell_angle_beta 105.35
_cell_angle_gamma 106.23
_space_group_name_H-M_alt 'P -1'
_space_group_IT_number 2
_space_group_name_Hall '-P 1'
loop_
_atom_site_label
_atom_site_fract_x
_atom_site_fract_y
_atom_site_fract_z
_atom_site_occupancy
Li1 0.0000 0.0000 0.0000 1
Li2 0.0000 0.0000 0.5000 1
Sn1 0.3511 0.6490 0.2503 1
Br1 0.0671 0.9349 0.7506 1
Br2 0.1494 0.6540 0.4027 1
Br3 0.2611 0.3539 0.0395 1
Br4 0.3455 0.8502 0.0977 1
Br5 0.3531 0.2605 0.5384 1
```

[8]
Structure and simulated XRD peak list of LiSnBr (a cell relaxed with GGA-PBE; Cu Kα X-rays).
Neutral-atom scattering factors, no anomalous dispersion.

Most intense lines, 2θ from 5° to 70°, by angle:
2theta  I (rel.)
6.7  75
13.4  72
27.0  46
27.8  66
28.4  70
28.5  71
28.7  70
35.4  100

```
data_LiSnBr
_cell_length_a 3.5689
_cell_length_b 3.5960
_cell_length_c 13.2076
_cell_angle_alpha 88.00
_cell_angle_beta 89.63
_cell_angle_gamma 89.99
_space_group_name_H-M_alt 'P 1'
_space_group_IT_number 1
_space_group_name_Hall 'P 1'
loop_
_atom_site_label
_atom_site_fract_x
_atom_site_fract_y
_atom_site_fract_z
_atom_site_occupancy
Li1 0.0000 0.0000 0.0000 1
Li2 0.4954 0.4766 0.1689 1
Sn1 0.4828 0.4253 0.5008 1
Sn2 0.9783 0.9024 0.6618 1
Br1 0.5007 0.5039 0.9671 1
Br2 0.9947 0.9724 0.2016 1
```

Question: Which formula does entry 6 have?
Answer: Li2SnBr4